(1)
# Tb2PmHo4Sc
Computed powder X-ray diffraction pattern, a wavelength of 1.5418 Å. Input: a crystal structure in Alexandria, relaxed with GGA-PBE.
Lines closer than 0.1° are merged.

Principal peaks in the range 5° ≤ 2θ ≤ 70°, low angle first:
27.26°, 3.271 Å, rel. 45, hkl 0 4 0
30.73°, 2.909 Å, rel. 100, hkl 4 0 -2
41.54°, 2.174 Å, rel. 86, hkl 4 4 -2
54.57°, 1.682 Å, rel. 8, hkl 4 0 -4
54.67°, 1.679 Å, rel. 13, hkl 8 0 -2
62.12°, 1.494 Å, rel. 26, hkl 4 4 -4
64.03°, 1.454 Å, rel. 9, hkl 8 0 -4
65.47°, 1.426 Å, rel. 21, hkl 4 8 -2

Structural model:
Lattice parameters (Å, degrees): 13.427 13.084 6.726 90.00 120.03 90.00
Space group C2/c (No. 15)
Inequivalent atoms, fractional coordinates:
Tb 0.000 0.000 0.000
Tb 0.250 0.250 0.000
Pm 0.250 0.250 0.500
Ho 0.000 0.261 0.501
Ho 0.238 0.499 0.986
Sc 0.000 0.500 0.000

---

(2)
# LaPm4Al3
Computed powder X-ray diffraction pattern, a wavelength of 1.5418 Å. Input: a crystal structure in Alexandria, relaxed with GGA-PBE.
Lines closer than 0.1° are merged.

Principal peaks in the range 5° ≤ 2θ ≤ 70°, low angle first:
19.61°, 4.528 Å, rel. 16, hkl 0 0 2
25.49°, 3.495 Å, rel. 21, hkl 1 1 0
27.35°, 3.260 Å, rel. 11, hkl 1 1 1
32.36°, 2.767 Å, rel. 100, hkl 1 1 2
36.36°, 2.471 Å, rel. 40, hkl 2 0 0
52.36°, 1.747 Å, rel. 14, hkl 2 2 0
55.01°, 1.669 Å, rel. 17, hkl 2 0 4
62.91°, 1.477 Å, rel. 29, hkl 3 1 2

Structural model:
Lattice parameters (Å, degrees): 4.942 4.942 9.056 90.00 90.00 90.00
Space group P4/mmm (No. 123)
Inequivalent atoms, fractional coordinates:
La 0.000 0.000 0.000
Pm 0.000 0.500 0.277
Al 0.000 0.000 0.500
Al 0.500 0.500 0.000
Al 0.500 0.500 0.500

---

(3)
# BaYF5
Computed powder X-ray diffraction pattern, a wavelength of 1.5418 Å. Input: a crystal structure in Alexandria, relaxed with GGA-PBE.
Lines closer than 0.1° are merged.

Principal peaks in the range 5° ≤ 2θ ≤ 70°, low angle first:
20.88°, 4.254 Å, rel. 25, hkl 1 1 1
23.07°, 3.855 Å, rel. 100, hkl 1 2 0
23.29°, 3.819 Å, rel. 44, hkl 0 1 2
27.82°, 3.207 Å, rel. 44, hkl 1 1 -2
27.92°, 3.195 Å, rel. 36, hkl 0 3 1
28.30°, 3.153 Å, rel. 35, hkl 1 1 2
31.16°, 2.870 Å, rel. 25, hkl 2 0 0
39.64°, 2.274 Å, rel. 28, hkl 2 1 2

Structural model:
Lattice parameters (Å, degrees): 5.742 10.405 8.213 90.00 91.13 90.00
Space group P2_1 (No. 4)
Inequivalent atoms, fractional coordinates:
Ba 0.004 0.000 0.135
Ba 0.491 0.683 0.315
Y 0.009 0.373 0.403
Y 0.496 0.784 0.871
F 0.086 0.577 0.405
F 0.165 0.403 0.150
F 0.202 0.706 0.707
F 0.221 0.372 0.629
F 0.238 0.883 0.399
F 0.256 0.176 0.977
F 0.265 0.671 0.027
F 0.298 0.221 0.352
F 0.327 0.948 0.732
F 0.449 0.911 0.078

---

(4)
# Li3TlIn
Computed powder X-ray diffraction pattern, a wavelength of 1.5418 Å. Input: a crystal structure in Alexandria, relaxed with GGA-PBE.
Lines closer than 0.1° are merged.

Principal peaks in the range 5° ≤ 2θ ≤ 70°, low angle first:
19.50°, 4.551 Å, rel. 100, hkl 1 0 0
26.67°, 3.342 Å, rel. 42, hkl 0 0 2
27.20°, 3.279 Å, rel. 28, hkl 1 0 -2
28.32°, 3.151 Å, rel. 38, hkl 0 2 0
34.62°, 2.591 Å, rel. 52, hkl 1 2 0
38.46°, 2.341 Å, rel. 30, hkl 1 0 2
39.30°, 2.293 Å, rel. 31, hkl 0 2 2
48.45°, 1.879 Å, rel. 27, hkl 1 2 2

Structural model:
Lattice parameters (Å, degrees): 4.841 6.302 7.108 90.00 109.87 90.00
Space group P2_1/m (No. 11)
Inequivalent atoms, fractional coordinates:
Li 0.001 0.250 0.000
Li 0.191 0.003 0.383
Tl 0.386 0.250 0.769
In 0.382 0.750 0.765

---

(5)
# La8Y3Er2
Computed powder X-ray diffraction pattern, a wavelength of 1.5418 Å. Input: a crystal structure in Alexandria, relaxed with GGA-PBE.
Lines closer than 0.1° are merged.

Principal peaks in the range 5° ≤ 2θ ≤ 70°, low angle first:
29.01°, 3.078 Å, rel. 22, hkl 2 0 -2
29.12°, 3.066 Å, rel. 39, hkl 2 2 1
30.21°, 2.958 Å, rel. 57, hkl 0 4 0
30.36°, 2.944 Å, rel. 29, hkl 1 1 -2
30.62°, 2.920 Å, rel. 100, hkl 4 2 -1
31.93°, 2.803 Å, rel. 27, hkl 3 1 1
37.35°, 2.407 Å, rel. 17, hkl 1 3 -2
53.92°, 1.700 Å, rel. 18, hkl 4 6 -1

Structural model:
Lattice parameters (Å, degrees): 13.646 11.832 6.171 90.00 112.77 90.00
Space group C2/m (No. 12)
Inequivalent atoms, fractional coordinates:
La 0.086 0.000 0.235
La 0.140 0.500 0.616
La 0.163 0.261 0.149
Y 0.000 0.227 0.500
Y 0.000 0.500 0.000
Er 0.185 0.000 0.818

---

(6)
# RbCu2Hg
Computed powder X-ray diffraction pattern, a wavelength of 1.5418 Å. Input: a crystal structure in Alexandria, relaxed with GGA-PBE.
Lines closer than 0.1° are merged.

Principal peaks in the range 5° ≤ 2θ ≤ 70°, low angle first:
18.18°, 4.879 Å, rel. 67, hkl 1 0 1
26.74°, 3.334 Å, rel. 100, hkl 1 1 2
35.47°, 2.531 Å, rel. 24, hkl 2 0 0
38.72°, 2.325 Å, rel. 48, hkl 1 1 6
39.28°, 2.293 Å, rel. 20, hkl 0 0 8
40.72°, 2.216 Å, rel. 33, hkl 2 0 4
55.08°, 1.667 Å, rel. 29, hkl 2 2 4
58.54°, 1.577 Å, rel. 23, hkl 3 1 2

Structural model:
Lattice parameters (Å, degrees): 5.062 5.062 18.347 90.00 90.00 90.00
Space group I4_1/amd (No. 141, origin choice 2)
Inequivalent atoms, fractional coordinates:
Rb 0.000 0.250 0.375
Cu 0.000 0.000 0.000
Hg 0.000 0.250 0.875

---

(7)
# Fe7Ni6Rh16
Computed powder X-ray diffraction pattern, a wavelength of 1.5418 Å. Input: a crystal structure in Alexandria, relaxed with GGA-PBE.
Lines closer than 0.1° are merged.

Principal peaks in the range 5° ≤ 2θ ≤ 70°, low angle first:
30.30°, 2.950 Å, rel. 37, hkl 4 0 0
37.33°, 2.409 Å, rel. 16, hkl 4 2 2
39.69°, 2.271 Å, rel. 76, hkl 3 3 3
43.38°, 2.086 Å, rel. 100, hkl 4 4 0
45.47°, 1.995 Å, rel. 41, hkl 5 3 1
46.16°, 1.967 Å, rel. 24, hkl 6 0 0
51.36°, 1.779 Å, rel. 16, hkl 6 2 2
67.33°, 1.391 Å, rel. 15, hkl 6 6 0

Structural model:
Lattice parameters (Å, degrees): 11.800 11.800 11.800 90.00 90.00 90.00
Space group Fm-3m (No. 225)
Inequivalent atoms, fractional coordinates:
Fe 0.000 0.000 0.000
Fe 0.000 0.250 0.250
Ni 0.000 0.000 0.343
Rh 0.118 0.118 0.118
Rh 0.159 0.159 0.341

---

(8)
# Cs4HfSe4
Computed powder X-ray diffraction pattern, a wavelength of 1.5418 Å. Input: a crystal structure in Alexandria, relaxed with GGA-PBE.
Lines closer than 0.1° are merged.

Principal peaks in the range 5° ≤ 2θ ≤ 70°, low angle first:
13.41°, 6.601 Å, rel. 39, hkl 1 0 1
20.92°, 4.247 Å, rel. 37, hkl 1 1 2
21.97°, 4.046 Å, rel. 46, hkl 1 0 3
24.00°, 3.708 Å, rel. 50, hkl 2 0 0
27.59°, 3.233 Å, rel. 100, hkl 2 1 1
32.76°, 2.734 Å, rel. 40, hkl 2 1 3
34.20°, 2.622 Å, rel. 41, hkl 2 2 0
34.63°, 2.590 Å, rel. 95, hkl 2 0 4

Structural model:
Lattice parameters (Å, degrees): 7.416 7.416 14.481 90.00 90.00 90.00
Space group I-42m (No. 121)
Inequivalent atoms, fractional coordinates:
Cs 0.196 0.196 0.357
Hf 0.000 0.000 0.000
Se 0.195 0.195 0.103